Record 1
Computed powder diffractogram
Compound: Th4GaTc4
Radiation: Cu Kα
Structure: a cell relaxed with GGA-PBE
Intensities are scaled so that the largest is 100.

Structure:
```
data_Th4GaTc4
_chemical_formula_sum 'Th8 Ga2 Tc8'
_symmetry_space_group_name_H-M 'P 1'
_symmetry_Int_Tables_number 1
_cell_length_a 8.3402
_cell_length_b 5.2783
_cell_length_c 11.4407
_cell_angle_alpha 90.00
_cell_angle_beta 124.05
_cell_angle_gamma 90.00
loop_
_symmetry_equiv_pos_as_xyz
'x,y,z'
loop_
_atom_site_label
_atom_site_type_symbol
_atom_site_fract_x
_atom_site_fract_y
_atom_site_fract_z
Th1 Th 0.1806 0.1119 0.1855
Th2 Th 0.1806 0.8881 0.6855
Th3 Th 0.2675 0.3725 0.9279
Th4 Th 0.2675 0.6275 0.4279
Th5 Th 0.7325 0.3725 0.5721
Th6 Th 0.7325 0.6275 0.0721
Th7 Th 0.8194 0.1119 0.3145
Th8 Th 0.8194 0.8881 0.8145
Ga1 Ga 0.5000 0.3513 0.7500
Ga2 Ga 0.5000 0.6487 0.2500
Tc1 Tc 0.1342 0.3783 0.6070
Tc2 Tc 0.1342 0.6217 0.1070
Tc3 Tc 0.3442 0.1141 0.4971
Tc4 Tc 0.3442 0.8859 0.9971
Tc5 Tc 0.6558 0.1141 0.0029
Tc6 Tc 0.6558 0.8859 0.5029
Tc7 Tc 0.8658 0.3783 0.8930
Tc8 Tc 0.8658 0.6217 0.3930
```

Top 10 peaks for 2θ from 5° to 70°, sorted by position:
25.78°, rel. 46.3
30.61°, rel. 24.7
32.34°, rel. 100.0
33.00°, rel. 50.1
35.30°, rel. 47.4
36.06°, rel. 45.9
40.78°, rel. 46.4
41.73°, rel. 31.7
49.23°, rel. 22.8
54.61°, rel. 18.1


Record 2
Computed powder diffractogram
Compound: Ti2GaTc
Radiation: Cu Kα
Structure: a cell relaxed with GGA-PBE
Intensities are scaled so that the largest is 100.

Structure:
```
data_Ti2GaTc
_chemical_formula_sum 'Ti2 Ga1 Tc1'
_symmetry_space_group_name_H-M 'P 1'
_symmetry_Int_Tables_number 1
_cell_length_a 4.3187
_cell_length_b 4.3187
_cell_length_c 3.2789
_cell_angle_alpha 90.00
_cell_angle_beta 90.00
_cell_angle_gamma 90.00
loop_
_symmetry_equiv_pos_as_xyz
'x,y,z'
loop_
_atom_site_label
_atom_site_type_symbol
_atom_site_fract_x
_atom_site_fract_y
_atom_site_fract_z
Ti1 Ti 0.0000 0.5000 0.0000
Ti2 Ti 0.5000 0.0000 0.0000
Ga1 Ga 0.0000 0.0000 0.5000
Tc1 Tc 0.5000 0.5000 0.5000
```

Top 10 peaks for 2θ from 5° to 70°, sorted by position:
20.57°, rel. 3.2
27.20°, rel. 6.2
29.25°, rel. 10.3
40.36°, rel. 100.0
41.83°, rel. 45.0
50.62°, rel. 4.9
56.10°, rel. 9.1
60.65°, rel. 14.1
64.51°, rel. 2.4
67.69°, rel. 2.1


Record 3
Computed powder diffractogram
Compound: Ti6Ga5Tc
Radiation: Cu Kα
Structure: a cell relaxed with GGA-PBE
Intensities are scaled so that the largest is 100.

Structure:
```
data_Ti6Ga5Tc
_chemical_formula_sum 'Ti6 Ga5 Tc1'
_symmetry_space_group_name_H-M 'P 1'
_symmetry_Int_Tables_number 1
_cell_length_a 4.7713
_cell_length_b 5.7296
_cell_length_c 6.8732
_cell_angle_alpha 90.00
_cell_angle_beta 93.84
_cell_angle_gamma 90.00
loop_
_symmetry_equiv_pos_as_xyz
'x,y,z'
loop_
_atom_site_label
_atom_site_type_symbol
_atom_site_fract_x
_atom_site_fract_y
_atom_site_fract_z
Ti1 Ti 0.0000 0.2484 0.0000
Ti2 Ti 0.0000 0.7516 0.0000
Ti3 Ti 0.3431 0.2474 0.6727
Ti4 Ti 0.3431 0.7526 0.6727
Ti5 Ti 0.6569 0.2474 0.3273
Ti6 Ti 0.6569 0.7526 0.3273
Ga1 Ga 0.1586 0.5000 0.3400
Ga2 Ga 0.1684 0.0000 0.3288
Ga3 Ga 0.5000 0.5000 0.0000
Ga4 Ga 0.8316 0.0000 0.6712
Ga5 Ga 0.8414 0.5000 0.6600
Tc1 Tc 0.5000 0.0000 0.0000
```

Top 10 peaks for 2θ from 5° to 70°, sorted by position:
23.45°, rel. 7.3
31.22°, rel. 3.7
39.22°, rel. 33.8
39.42°, rel. 100.0
44.65°, rel. 45.9
47.97°, rel. 18.3
64.86°, rel. 7.0
65.12°, rel. 7.0
67.47°, rel. 12.4
67.74°, rel. 12.2


Record 4
Computed powder diffractogram
Compound: Ti6Ga10Tc
Radiation: Cu Kα
Structure: a cell relaxed with GGA-PBE
Intensities are scaled so that the largest is 100.

Structure:
```
data_Ti6Ga10Tc
_chemical_formula_sum 'Ti6 Ga10 Tc1'
_symmetry_space_group_name_H-M 'P 1'
_symmetry_Int_Tables_number 1
_cell_length_a 7.7307
_cell_length_b 7.7307
_cell_length_c 5.3379
_cell_angle_alpha 90.00
_cell_angle_beta 90.00
_cell_angle_gamma 120.00
loop_
_symmetry_equiv_pos_as_xyz
'x,y,z'
loop_
_atom_site_label
_atom_site_type_symbol
_atom_site_fract_x
_atom_site_fract_y
_atom_site_fract_z
Ti1 Ti 0.0000 0.3836 0.2888
Ti2 Ti 0.0000 0.6164 0.7112
Ti3 Ti 0.3836 0.0000 0.2888
Ti4 Ti 0.3836 0.3836 0.7112
Ti5 Ti 0.6164 0.0000 0.7112
Ti6 Ti 0.6164 0.6164 0.2888
Ga1 Ga 0.0000 0.2552 0.8054
Ga2 Ga 0.0000 0.7448 0.1946
Ga3 Ga 0.2552 0.0000 0.8054
Ga4 Ga 0.2552 0.2552 0.1946
Ga5 Ga 0.3333 0.6667 0.0000
Ga6 Ga 0.3333 0.6667 0.5000
Ga7 Ga 0.6667 0.3333 0.0000
Ga8 Ga 0.6667 0.3333 0.5000
Ga9 Ga 0.7448 0.0000 0.1946
Ga10 Ga 0.7448 0.7448 0.8054
Tc1 Tc 0.0000 0.0000 0.5000
```

Top 10 peaks for 2θ from 5° to 70°, sorted by position:
28.51°, rel. 10.9
31.55°, rel. 13.8
35.47°, rel. 11.2
39.41°, rel. 74.0
40.42°, rel. 64.9
41.10°, rel. 100.0
53.27°, rel. 5.9
59.01°, rel. 23.0
62.97°, rel. 14.8
63.70°, rel. 10.3


Record 5
Computed powder diffractogram
Compound: TmGa3Tc3
Radiation: Cu Kα
Structure: a cell relaxed with GGA-PBE
Intensities are scaled so that the largest is 100.

Structure:
```
data_TmGa3Tc3
_chemical_formula_sum 'Tm2 Ga6 Tc6'
_symmetry_space_group_name_H-M 'P 1'
_symmetry_Int_Tables_number 1
_cell_length_a 6.7538
_cell_length_b 6.7538
_cell_length_c 6.7538
_cell_angle_alpha 90.00
_cell_angle_beta 90.00
_cell_angle_gamma 90.00
loop_
_symmetry_equiv_pos_as_xyz
'x,y,z'
loop_
_atom_site_label
_atom_site_type_symbol
_atom_site_fract_x
_atom_site_fract_y
_atom_site_fract_z
Tm1 Tm 0.0000 0.0000 0.0000
Tm2 Tm 0.5000 0.5000 0.5000
Ga1 Ga 0.0000 0.2500 0.5000
Ga2 Ga 0.0000 0.7500 0.5000
Ga3 Ga 0.2500 0.5000 0.0000
Ga4 Ga 0.5000 0.0000 0.2500
Ga5 Ga 0.5000 0.0000 0.7500
Ga6 Ga 0.7500 0.5000 0.0000
Tc1 Tc 0.0000 0.5000 0.2500
Tc2 Tc 0.0000 0.5000 0.7500
Tc3 Tc 0.2500 0.0000 0.5000
Tc4 Tc 0.5000 0.2500 0.0000
Tc5 Tc 0.5000 0.7500 0.0000
Tc6 Tc 0.7500 0.0000 0.5000
```

Top 10 peaks for 2θ from 5° to 70°, sorted by position:
26.39°, rel. 42.8
29.58°, rel. 3.3
32.47°, rel. 100.0
46.58°, rel. 12.8
48.61°, rel. 0.8
50.57°, rel. 57.1
54.33°, rel. 23.2
61.39°, rel. 15.8
63.08°, rel. 0.7
64.74°, rel. 13.4


Record 6
Computed powder diffractogram
Compound: Tm2Ga4Tc3
Radiation: Cu Kα
Structure: a cell relaxed with GGA-PBE
Intensities are scaled so that the largest is 100.

Structure:
```
data_Tm2Ga4Tc3
_chemical_formula_sum 'Tm2 Ga4 Tc3'
_symmetry_space_group_name_H-M 'P 1'
_symmetry_Int_Tables_number 1
_cell_length_a 8.0391
_cell_length_b 7.0560
_cell_length_c 5.3712
_cell_angle_alpha 79.35
_cell_angle_beta 59.61
_cell_angle_gamma 41.04
loop_
_symmetry_equiv_pos_as_xyz
'x,y,z'
loop_
_atom_site_label
_atom_site_type_symbol
_atom_site_fract_x
_atom_site_fract_y
_atom_site_fract_z
Tm1 Tm 0.1255 0.1255 0.8745
Tm2 Tm 0.8745 0.8745 0.1255
Ga1 Ga 0.1648 0.4969 0.5031
Ga2 Ga 0.4969 0.1648 0.8352
Ga3 Ga 0.5031 0.8352 0.1648
Ga4 Ga 0.8352 0.5031 0.4969
Tc1 Tc 0.0000 0.0000 0.5000
Tc2 Tc 0.5000 0.5000 0.0000
Tc3 Tc 0.5000 0.5000 0.5000
```

Top 10 peaks for 2θ from 5° to 70°, sorted by position:
28.18°, rel. 22.5
33.44°, rel. 26.9
33.87°, rel. 26.4
34.09°, rel. 28.8
39.11°, rel. 30.8
39.41°, rel. 100.0
39.62°, rel. 42.8
41.57°, rel. 30.0
44.01°, rel. 29.2
64.32°, rel. 23.1


Record 7
Computed powder diffractogram
Compound: V3GaTc4
Radiation: Cu Kα
Structure: a cell relaxed with GGA-PBE
Intensities are scaled so that the largest is 100.

Structure:
```
data_V3GaTc4
_chemical_formula_sum 'V3 Ga1 Tc4'
_symmetry_space_group_name_H-M 'P 1'
_symmetry_Int_Tables_number 1
_cell_length_a 3.0506
_cell_length_b 4.2806
_cell_length_c 8.5582
_cell_angle_alpha 90.00
_cell_angle_beta 90.00
_cell_angle_gamma 90.00
loop_
_symmetry_equiv_pos_as_xyz
'x,y,z'
loop_
_atom_site_label
_atom_site_type_symbol
_atom_site_fract_x
_atom_site_fract_y
_atom_site_fract_z
V1 V 0.0000 0.0000 0.0000
V2 V 0.0000 0.5000 0.2535
V3 V 0.0000 0.5000 0.7465
Ga1 Ga 0.0000 0.0000 0.5000
Tc1 Tc 0.5000 0.0000 0.2425
Tc2 Tc 0.5000 0.0000 0.7575
Tc3 Tc 0.5000 0.5000 0.0000
Tc4 Tc 0.5000 0.5000 0.5000
```

Top 10 peaks for 2θ from 5° to 70°, sorted by position:
29.28°, rel. 5.5
29.52°, rel. 10.7
42.06°, rel. 100.0
42.23°, rel. 49.2
52.21°, rel. 4.5
60.72°, rel. 8.1
61.26°, rel. 15.5
68.94°, rel. 2.0
69.32°, rel. 1.9
69.45°, rel. 1.9


Record 8
Computed powder diffractogram
Compound: V3GaTc3
Radiation: Cu Kα
Structure: a cell relaxed with GGA-PBE
Intensities are scaled so that the largest is 100.

Structure:
```
data_V3GaTc3
_chemical_formula_sum 'V6 Ga2 Tc6'
_symmetry_space_group_name_H-M 'P 1'
_symmetry_Int_Tables_number 1
_cell_length_a 5.9886
_cell_length_b 5.9886
_cell_length_c 5.9345
_cell_angle_alpha 90.00
_cell_angle_beta 90.00
_cell_angle_gamma 93.41
loop_
_symmetry_equiv_pos_as_xyz
'x,y,z'
loop_
_atom_site_label
_atom_site_type_symbol
_atom_site_fract_x
_atom_site_fract_y
_atom_site_fract_z
V1 V 0.2311 0.7689 0.0000
V2 V 0.2545 0.2545 0.5000
V3 V 0.2641 0.7359 0.5000
V4 V 0.7359 0.2641 0.5000
V5 V 0.7455 0.7455 0.5000
V6 V 0.7689 0.2311 0.0000
Ga1 Ga 0.2864 0.2864 0.0000
Ga2 Ga 0.7136 0.7136 0.0000
Tc1 Tc 0.0000 0.0000 0.2546
Tc2 Tc 0.0000 0.0000 0.7454
Tc3 Tc 0.0000 0.5000 0.2537
Tc4 Tc 0.0000 0.5000 0.7463
Tc5 Tc 0.5000 0.0000 0.2537
Tc6 Tc 0.5000 0.0000 0.7463
```

Top 10 peaks for 2θ from 5° to 70°, sorted by position:
14.82°, rel. 20.4
21.64°, rel. 7.8
33.72°, rel. 10.3
34.33°, rel. 8.4
41.43°, rel. 28.0
42.95°, rel. 100.0
44.10°, rel. 21.4
45.04°, rel. 5.0
62.11°, rel. 14.2
62.61°, rel. 8.0


Record 9
Computed powder diffractogram
Compound: Y4Ga12Tc
Radiation: Cu Kα
Structure: a cell relaxed with GGA-PBE
Intensities are scaled so that the largest is 100.

Structure:
```
data_Y4Ga12Tc
_chemical_formula_sum 'Y4 Ga12 Tc1'
_symmetry_space_group_name_H-M 'P 1'
_symmetry_Int_Tables_number 1
_cell_length_a 7.4914
_cell_length_b 7.4914
_cell_length_c 7.4914
_cell_angle_alpha 109.47
_cell_angle_beta 109.47
_cell_angle_gamma 109.47
loop_
_symmetry_equiv_pos_as_xyz
'x,y,z'
loop_
_atom_site_label
_atom_site_type_symbol
_atom_site_fract_x
_atom_site_fract_y
_atom_site_fract_z
Y1 Y 0.0000 0.0000 0.5000
Y2 Y 0.0000 0.5000 0.0000
Y3 Y 0.5000 0.0000 0.0000
Y4 Y 0.5000 0.5000 0.5000
Ga1 Ga 0.0000 0.2911 0.2911
Ga2 Ga 0.0000 0.7089 0.7089
Ga3 Ga 0.2500 0.5000 0.7500
Ga4 Ga 0.2500 0.7500 0.5000
Ga5 Ga 0.2911 0.0000 0.2911
Ga6 Ga 0.2911 0.2911 0.0000
Ga7 Ga 0.5000 0.2500 0.7500
Ga8 Ga 0.5000 0.7500 0.2500
Ga9 Ga 0.7089 0.0000 0.7089
Ga10 Ga 0.7089 0.7089 0.0000
Ga11 Ga 0.7500 0.2500 0.5000
Ga12 Ga 0.7500 0.5000 0.2500
Tc1 Tc 0.0000 0.0000 0.0000
```

Top 10 peaks for 2θ from 5° to 70°, sorted by position:
29.20°, rel. 9.7
32.74°, rel. 9.1
35.96°, rel. 100.0
38.96°, rel. 13.9
41.77°, rel. 67.4
44.43°, rel. 6.8
49.42°, rel. 10.7
60.55°, rel. 38.7
62.62°, rel. 2.9
68.62°, rel. 4.0


Record 10
Computed powder diffractogram
Compound: Zn2Ga7Tc2
Radiation: Cu Kα
Structure: a cell relaxed with GGA-PBE
Intensities are scaled so that the largest is 100.

Structure:
```
data_Zn2Ga7Tc2
_chemical_formula_sum 'Zn2 Ga7 Tc2'
_symmetry_space_group_name_H-M 'P 1'
_symmetry_Int_Tables_number 1
_cell_length_a 5.6812
_cell_length_b 5.6812
_cell_length_c 6.5492
_cell_angle_alpha 90.00
_cell_angle_beta 90.00
_cell_angle_gamma 91.67
loop_
_symmetry_equiv_pos_as_xyz
'x,y,z'
loop_
_atom_site_label
_atom_site_type_symbol
_atom_site_fract_x
_atom_site_fract_y
_atom_site_fract_z
Zn1 Zn 0.1609 0.8391 0.0000
Zn2 Zn 0.8391 0.1609 0.0000
Ga1 Ga 0.0000 0.0000 0.5000
Ga2 Ga 0.0000 0.5000 0.2814
Ga3 Ga 0.0000 0.5000 0.7186
Ga4 Ga 0.5000 0.0000 0.2814
Ga5 Ga 0.5000 0.0000 0.7186
Ga6 Ga 0.5000 0.5000 0.1855
Ga7 Ga 0.5000 0.5000 0.8145
Tc1 Tc 0.3127 0.3127 0.5000
Tc2 Tc 0.6873 0.6873 0.5000
```

Top 10 peaks for 2θ from 5° to 70°, sorted by position:
25.75°, rel. 37.0
26.31°, rel. 75.9
31.52°, rel. 69.0
35.16°, rel. 48.1
42.12°, rel. 100.0
44.46°, rel. 49.0
45.53°, rel. 59.9
45.85°, rel. 33.1
47.23°, rel. 57.4
50.17°, rel. 49.4


Record 11
Computed powder diffractogram
Compound: ZnGaTc2
Radiation: Cu Kα
Structure: a cell relaxed with GGA-PBE
Intensities are scaled so that the largest is 100.

Structure:
```
data_ZnGaTc2
_chemical_formula_sum 'Zn4 Ga4 Tc8'
_symmetry_space_group_name_H-M 'P 1'
_symmetry_Int_Tables_number 1
_cell_length_a 6.1081
_cell_length_b 6.1081
_cell_length_c 6.1081
_cell_angle_alpha 90.00
_cell_angle_beta 90.00
_cell_angle_gamma 90.00
loop_
_symmetry_equiv_pos_as_xyz
'x,y,z'
loop_
_atom_site_label
_atom_site_type_symbol
_atom_site_fract_x
_atom_site_fract_y
_atom_site_fract_z
Zn1 Zn 0.0000 0.0000 0.0000
Zn2 Zn 0.0000 0.5000 0.5000
Zn3 Zn 0.5000 0.0000 0.5000
Zn4 Zn 0.5000 0.5000 0.0000
Ga1 Ga 0.0000 0.0000 0.5000
Ga2 Ga 0.0000 0.5000 0.0000
Ga3 Ga 0.5000 0.0000 0.0000
Ga4 Ga 0.5000 0.5000 0.5000
Tc1 Tc 0.2500 0.2500 0.2500
Tc2 Tc 0.2500 0.2500 0.7500
Tc3 Tc 0.2500 0.7500 0.2500
Tc4 Tc 0.2500 0.7500 0.7500
Tc5 Tc 0.7500 0.2500 0.2500
Tc6 Tc 0.7500 0.2500 0.7500
Tc7 Tc 0.7500 0.7500 0.2500
Tc8 Tc 0.7500 0.7500 0.7500
```

Top 5 peaks for 2θ from 5° to 70°, sorted by position:
29.24°, rel. 3.6
41.83°, rel. 100.0
51.85°, rel. 0.9
60.64°, rel. 16.1
68.73°, rel. 1.2


Record 12
Computed powder diffractogram
Compound: ZnGa6Tc2
Radiation: Cu Kα
Structure: a cell relaxed with GGA-PBE
Intensities are scaled so that the largest is 100.

Structure:
```
data_ZnGa6Tc2
_chemical_formula_sum 'Zn1 Ga6 Tc2'
_symmetry_space_group_name_H-M 'P 1'
_symmetry_Int_Tables_number 1
_cell_length_a 7.9109
_cell_length_b 7.9109
_cell_length_c 7.9109
_cell_angle_alpha 37.28
_cell_angle_beta 37.28
_cell_angle_gamma 37.28
loop_
_symmetry_equiv_pos_as_xyz
'x,y,z'
loop_
_atom_site_label
_atom_site_type_symbol
_atom_site_fract_x
_atom_site_fract_y
_atom_site_fract_z
Zn1 Zn 0.0000 0.0000 0.0000
Ga1 Ga 0.2390 0.7322 0.7322
Ga2 Ga 0.4349 0.9318 0.9318
Ga3 Ga 0.7322 0.2390 0.7322
Ga4 Ga 0.7322 0.7322 0.2390
Ga5 Ga 0.9318 0.4349 0.9318
Ga6 Ga 0.9318 0.9318 0.4349
Tc1 Tc 0.2815 0.2815 0.2815
Tc2 Tc 0.3858 0.3858 0.3858
```

Top 10 peaks for 2θ from 5° to 70°, sorted by position:
24.21°, rel. 72.2
25.98°, rel. 29.5
37.62°, rel. 50.6
38.59°, rel. 29.7
41.44°, rel. 100.0
42.07°, rel. 26.5
44.52°, rel. 35.5
46.08°, rel. 41.2
46.29°, rel. 66.0
50.03°, rel. 25.3


Record 13
Computed powder diffractogram
Compound: Zn2Ga5Tc
Radiation: Cu Kα
Structure: a cell relaxed with GGA-PBE
Intensities are scaled so that the largest is 100.

Structure:
```
data_Zn2Ga5Tc
_chemical_formula_sum 'Zn2 Ga5 Tc1'
_symmetry_space_group_name_H-M 'P 1'
_symmetry_Int_Tables_number 1
_cell_length_a 5.4966
_cell_length_b 5.5120
_cell_length_c 5.5167
_cell_angle_alpha 118.45
_cell_angle_beta 106.16
_cell_angle_gamma 104.09
loop_
_symmetry_equiv_pos_as_xyz
'x,y,z'
loop_
_atom_site_label
_atom_site_type_symbol
_atom_site_fract_x
_atom_site_fract_y
_atom_site_fract_z
Zn1 Zn 0.0000 0.0000 0.0000
Zn2 Zn 0.3472 0.9111 0.4360
Ga1 Ga 0.5026 0.4871 0.5188
Ga2 Ga 0.5038 0.9863 0.0172
Ga3 Ga 0.8498 0.8875 0.4273
Ga4 Ga 0.8509 0.4251 0.9650
Ga5 Ga 0.9957 0.4624 0.5357
Tc1 Tc 0.3311 0.3979 0.9319
```

Top 10 peaks for 2θ from 5° to 70°, sorted by position:
37.04°, rel. 19.9
37.18°, rel. 18.7
38.01°, rel. 100.0
41.67°, rel. 92.4
42.01°, rel. 45.2
42.17°, rel. 45.1
42.34°, rel. 40.2
43.17°, rel. 40.6
66.24°, rel. 14.0
68.02°, rel. 13.5